Computed powder X-ray diffraction pattern of CsNbCl6 for Cu Kα, 1.54184 Å, from a crystal structure in the Materials Project, relaxed with GGA-PBE.
Lines closer than 0.1° are merged.

Principal peaks in the range 2θ = 10–90°, sorted by position:
2θ 17.32, rel. 100, (1 1 1); 2θ 17.91, rel. 61, (2 0 -2); 2θ 30.65, rel. 63, (2 2 -1); 2θ 30.94, rel. 49, (1 1 -4); 2θ 31.33, rel. 48, (3 1 2); 2θ 40.27, rel. 37, (3 1 -5)

Structural model:
```
data_CsNbCl6
_symmetry_space_group_name_H-M 'C 1 2/c 1'
_symmetry_Int_Tables_number 15
_symmetry_space_group_name_Hall '-C 2yc'
_cell_length_a 12.6474
_cell_length_b 6.6505
_cell_length_c 12.8524
_cell_angle_alpha 90.00
_cell_angle_beta 101.94
_cell_angle_gamma 90.00
loop_
_atom_site_label
_atom_site_type_symbol
_atom_site_fract_x
_atom_site_fract_y
_atom_site_fract_z
Cs1 Cs 0.0000 0.1177 0.2500
Nb1 Nb 0.2500 0.2500 0.0000
Cl1 Cl 0.0845 0.3785 0.8980
Cl2 Cl 0.1567 0.0425 0.5389
Cl3 Cl 0.2158 0.4113 0.1553
```

=====

Computed powder X-ray diffraction pattern of Cs2Nb6PbCl18 for Cu Kα, 1.54184 Å, from a crystal structure in the Materials Project, relaxed with GGA-PBE.
Lines closer than 0.1° are merged.

Principal peaks in the range 2θ = 10–90°, sorted by position:
2θ 12.43, rel. 100, (0 1 2); 2θ 16.92, rel. 90, (1 0 4); 2θ 20.84, rel. 76, (1 1 3); 2θ 32.78, rel. 77, (3 -2 5); 2θ 38.46, rel. 67, (0 1 11); 2θ 39.08, rel. 77, (3 -2 8)

Structural model:
```
data_Cs2Nb6PbCl18
_symmetry_space_group_name_H-M 'R -3'
_symmetry_Int_Tables_number 148
_symmetry_space_group_name_Hall '-R 3'
_cell_length_a 9.7016
_cell_length_b 9.7016
_cell_length_c 26.8023
_cell_angle_alpha 90.00
_cell_angle_beta 90.00
_cell_angle_gamma 120.00
loop_
_atom_site_label
_atom_site_type_symbol
_atom_site_fract_x
_atom_site_fract_y
_atom_site_fract_z
Cs1 Cs 0.0000 0.0000 0.2230
Nb1 Nb 0.0350 0.1906 0.0448
Pb1 Pb 0.0000 0.0000 0.5000
Cl1 Cl 0.0228 0.2599 0.4361
Cl2 Cl 0.0408 0.2243 0.8943
Cl3 Cl 0.0675 0.2605 0.6662
```

=====

Computed powder X-ray diffraction pattern of CsTiNb6Cl18 for Cu Kα, 1.54184 Å, from a crystal structure in the Materials Project, relaxed with GGA-PBE.
Lines closer than 0.1° are merged.

Principal peaks in the range 2θ = 10–90°, sorted by position:
2θ 11.10, rel. 100, (1 0 0); 2θ 15.15, rel. 94, (1 0 2); 2θ 21.90, rel. 28, (1 1 2); 2θ 33.60, rel. 45, (3 -1 3); 2θ 36.41, rel. 69, (3 -1 4); 2θ 43.59, rel. 41, (3 -1 6)

Structural model:
```
data_CsTiNb6Cl18
_symmetry_space_group_name_H-M 'P -3 1 c'
_symmetry_Int_Tables_number 163
_symmetry_space_group_name_Hall '-P 3 2c'
_cell_length_a 9.2057
_cell_length_b 9.2057
_cell_length_c 17.1984
_cell_angle_alpha 90.00
_cell_angle_beta 90.00
_cell_angle_gamma 120.00
loop_
_atom_site_label
_atom_site_type_symbol
_atom_site_fract_x
_atom_site_fract_y
_atom_site_fract_z
Cs1 Cs 0.3333 0.6667 0.2500
Ti1 Ti 0.3333 0.6667 0.7500
Nb1 Nb 0.0461 0.2022 0.5694
Cl1 Cl 0.0538 0.2410 0.3378
Cl2 Cl 0.1029 0.4610 0.6662
Cl3 Cl 0.1360 0.4231 0.0020
```

=====

Computed powder X-ray diffraction pattern of CsNiCl3 for Cu Kα, 1.54184 Å, from a crystal structure in the Materials Project, relaxed with GGA-PBE.
Lines closer than 0.1° are merged.

Principal peaks in the range 2θ = 10–90°, sorted by position:
2θ 20.43, rel. 57, (1 0 1); 2θ 24.37, rel. 64, (1 1 0); 2θ 32.01, rel. 100, (2 0 1); 2θ 41.55, rel. 38, (2 0 2); 2θ 48.76, rel. 28, (2 1 2); 2θ 49.94, rel. 27, (2 2 0)

Structural model:
```
data_CsNiCl3
_symmetry_space_group_name_H-M 'P 63/m m c'
_symmetry_Int_Tables_number 194
_symmetry_space_group_name_Hall '-P 6c 2c'
_cell_length_a 7.3047
_cell_length_b 7.3047
_cell_length_c 5.9820
_cell_angle_alpha 90.00
_cell_angle_beta 90.00
_cell_angle_gamma 120.00
loop_
_atom_site_label
_atom_site_type_symbol
_atom_site_fract_x
_atom_site_fract_y
_atom_site_fract_z
Cs1 Cs 0.3333 0.6667 0.2500
Ni1 Ni 0.0000 0.0000 0.0000
Cl1 Cl 0.1498 0.2997 0.7500
```

=====

Computed powder X-ray diffraction pattern of Cs7Np3Cl12O6 for Cu Kα, 1.54184 Å, from a crystal structure in the Materials Project, relaxed with GGA-PBE.
Lines closer than 0.1° are merged.

Principal peaks in the range 2θ = 10–90°, sorted by position:
2θ 14.11, rel. 40, (2 1 1); 2θ 21.62, rel. 100, (3 2 1); 2θ 25.91, rel. 58, (4 2 0); 2θ 28.44, rel. 25, (4 2 2); 2θ 31.88, rel. 56, (5 2 1); 2θ 42.39, rel. 19, (6 4 0)

Structural model:
```
data_Cs7Np3Cl12O6
_symmetry_space_group_name_H-M 'I -4 3 d'
_symmetry_Int_Tables_number 220
_symmetry_space_group_name_Hall 'I -4bd 2c 3'
_cell_length_a 15.3770
_cell_length_b 15.3770
_cell_length_c 15.3770
_cell_angle_alpha 90.00
_cell_angle_beta 90.00
_cell_angle_gamma 90.00
loop_
_atom_site_label
_atom_site_type_symbol
_atom_site_fract_x
_atom_site_fract_y
_atom_site_fract_z
Cs1 Cs 0.0000 0.2500 0.8750
Cs2 Cs 0.1020 0.3980 0.6020
Np1 Np 0.0000 0.2500 0.3750
Cl1 Cl 0.0592 0.0843 0.3699
O1 O 0.0000 0.2500 0.2572
```